(1)
Calculated powder diffraction line list of Ce4Sn25Pd12 for Cu Kα, 1.54184 Å, from a crystal structure in Alexandria, relaxed with PBE.
Intensities are scaled so that the largest is 1000.

Cell and atoms:
```
data_Ce4Sn25Pd12
_symmetry_space_group_name_H-M 'I m -3'
_symmetry_Int_Tables_number 204
_symmetry_space_group_name_Hall '-I 2 2 3'
_cell_length_a 12.4392
_cell_length_b 12.4392
_cell_length_c 12.4392
_cell_angle_alpha 90.00
_cell_angle_beta 90.00
_cell_angle_gamma 90.00
loop_
_atom_site_label
_atom_site_fract_x
_atom_site_fract_y
_atom_site_fract_z
Ce1 0.2500 0.2500 0.2500
Sn1 0.0000 0.0000 0.0000
Sn2 0.0000 0.2478 0.1263
Sn3 0.0000 0.3701 0.3780
Pd1 0.0000 0.1628 0.3221
```

Top 6 peaks for 10° ≤ 2θ ≤ 90°, by intensity:
d = 2.781 Å, 2θ 32.18, I 1000, hkl 4 2 0
d = 2.932 Å, 2θ 30.49, I 926, hkl 4 1 1
d = 2.539 Å, 2θ 35.35, I 773, hkl 4 2 2
d = 2.133 Å, 2θ 42.37, I 584, hkl 5 0 3
d = 2.018 Å, 2θ 44.92, I 367, hkl 5 3 2
d = 1.531 Å, 2θ 60.46, I 320, hkl 7 4 1

***

(2)
Calculated powder diffraction line list of Ce2Sn3Pd for Cu Kα, 1.54184 Å, from a crystal structure in Alexandria, relaxed with PBE.
Intensities are scaled so that the largest is 1000.

Cell and atoms:
```
data_Ce2Sn3Pd
_symmetry_space_group_name_H-M 'C 1 m 1'
_symmetry_Int_Tables_number 8
_symmetry_space_group_name_Hall 'C -2y'
_cell_length_a 11.3907
_cell_length_b 4.7472
_cell_length_c 7.3969
_cell_angle_alpha 90.00
_cell_angle_beta 130.17
_cell_angle_gamma 90.00
loop_
_atom_site_label
_atom_site_fract_x
_atom_site_fract_y
_atom_site_fract_z
Ce1 0.0000 0.0000 0.0000
Ce2 0.1046 0.0000 0.5888
Sn1 0.1732 0.5000 0.9367
Sn2 0.2326 0.5000 0.4189
Sn3 0.3885 0.0000 0.1830
Pd1 0.3733 0.0000 0.5453
```

Top 6 peaks for 10° ≤ 2θ ≤ 90°, by intensity:
d = 2.767 Å, 2θ 32.36, I 1000, hkl 1 1 -2
d = 2.476 Å, 2θ 36.29, I 569, hkl 3 1 0
d = 2.941 Å, 2θ 30.39, I 504, hkl 3 1 -1
d = 2.374 Å, 2θ 37.90, I 501, hkl 0 2 0
d = 1.677 Å, 2θ 54.72, I 174, hkl 4 2 -3
d = 2.369 Å, 2θ 37.99, I 168, hkl 4 0 -3

***

(3)
Calculated powder diffraction line list of CeSn3Pd2 for Cu Kα, 1.54184 Å, from a crystal structure in Alexandria, relaxed with PBE.
Intensities are scaled so that the largest is 1000.

Cell and atoms:
```
data_CeSn3Pd2
_symmetry_space_group_name_H-M 'P b c m'
_symmetry_Int_Tables_number 57
_symmetry_space_group_name_Hall '-P 2c 2b'
_cell_length_a 13.9527
_cell_length_b 6.3268
_cell_length_c 6.2122
_cell_angle_alpha 90.00
_cell_angle_beta 90.00
_cell_angle_gamma 90.00
loop_
_atom_site_label
_atom_site_fract_x
_atom_site_fract_y
_atom_site_fract_z
Ce1 0.2015 0.0138 0.2500
Sn1 0.0033 0.2500 0.0000
Sn2 0.3035 0.5202 0.2500
Sn3 0.4388 0.6061 0.7500
Pd1 0.1152 0.5109 0.2500
Pd2 0.4061 0.2500 0.0000
```

Top 6 peaks for 10° ≤ 2θ ≤ 90°, by intensity:
d = 2.741 Å, 2θ 32.67, I 1000, hkl 4 1 1
d = 2.216 Å, 2θ 40.71, I 722, hkl 0 2 2
d = 2.881 Å, 2θ 31.04, I 434, hkl 2 2 0
d = 2.586 Å, 2θ 34.69, I 340, hkl 3 0 2
d = 2.838 Å, 2θ 31.53, I 276, hkl 2 0 2
d = 2.615 Å, 2θ 34.29, I 247, hkl 3 2 0

***

(4)
Calculated powder diffraction line list of SrCeSnPd for Cu Kα, 1.54184 Å, from a crystal structure in Alexandria, relaxed with PBE.
Intensities are scaled so that the largest is 1000.

Cell and atoms:
```
data_SrCeSnPd
_symmetry_space_group_name_H-M 'F -4 3 m'
_symmetry_Int_Tables_number 216
_symmetry_space_group_name_Hall 'F -4 2 3'
_cell_length_a 7.6225
_cell_length_b 7.6225
_cell_length_c 7.6225
_cell_angle_alpha 90.00
_cell_angle_beta 90.00
_cell_angle_gamma 90.00
loop_
_atom_site_label
_atom_site_fract_x
_atom_site_fract_y
_atom_site_fract_z
Sr1 0.0000 0.0000 0.0000
Ce1 0.0000 0.0000 0.5000
Sn1 0.2500 0.2500 0.7500
Pd1 0.2500 0.2500 0.2500
```

Top 6 peaks for 10° ≤ 2θ ≤ 90°, by intensity:
d = 2.695 Å, 2θ 33.24, I 1000, hkl 2 2 0
d = 1.556 Å, 2θ 59.40, I 377, hkl 4 2 2
d = 1.906 Å, 2θ 47.73, I 181, hkl 4 0 0
d = 1.205 Å, 2θ 79.53, I 164, hkl 6 2 0
d = 1.347 Å, 2θ 69.80, I 117, hkl 4 4 0
d = 1.100 Å, 2θ 88.97, I 43, hkl 4 4 4

***

(5)
Calculated powder diffraction line list of Sr3CePd8 for Cu Kα, 1.54184 Å, from a crystal structure in Alexandria, relaxed with PBE.
Intensities are scaled so that the largest is 1000.

Cell and atoms:
```
data_Sr3CePd8
_symmetry_space_group_name_H-M 'R 3 m'
_symmetry_Int_Tables_number 160
_symmetry_space_group_name_Hall 'R 3 -2"'
_cell_length_a 5.5943
_cell_length_b 5.5943
_cell_length_c 27.2569
_cell_angle_alpha 90.00
_cell_angle_beta 90.00
_cell_angle_gamma 120.00
loop_
_atom_site_label
_atom_site_fract_x
_atom_site_fract_y
_atom_site_fract_z
Sr1 0.0000 0.0000 0.0000
Sr2 0.0000 0.0000 0.1242
Sr3 0.0000 0.0000 0.6268
Ce1 0.0000 0.0000 0.4999
Pd1 0.0000 0.0000 0.3131
Pd2 0.0000 0.0000 0.8133
Pd3 0.0031 0.5016 0.0651
Pd4 0.1679 0.3357 0.8946
```

Top 6 peaks for 10° ≤ 2θ ≤ 90°, by intensity:
d = 2.383 Å, 2θ 37.75, I 1000, hkl 1 1 6
d = 2.282 Å, 2θ 39.48, I 421, hkl 0 2 4
d = 2.376 Å, 2θ 37.87, I 323, hkl 1 0 10
d = 1.399 Å, 2θ 66.90, I 187, hkl 2 2 0
d = 1.393 Å, 2θ 67.18, I 181, hkl 0 2 16
d = 1.522 Å, 2θ 60.88, I 166, hkl 3 0 6

***

(6)
Calculated powder diffraction line list of TbCePd14 for Cu Kα, 1.54184 Å, from a crystal structure in Alexandria, relaxed with PBE.
Intensities are scaled so that the largest is 1000.

Cell and atoms:
```
data_TbCePd14
_symmetry_space_group_name_H-M 'P 4/m m m'
_symmetry_Int_Tables_number 123
_symmetry_space_group_name_Hall '-P 4 2'
_cell_length_a 5.8116
_cell_length_b 5.8116
_cell_length_c 7.8689
_cell_angle_alpha 90.00
_cell_angle_beta 90.00
_cell_angle_gamma 90.00
loop_
_atom_site_label
_atom_site_fract_x
_atom_site_fract_y
_atom_site_fract_z
Tb1 0.0000 0.0000 0.0000
Ce1 0.5000 0.5000 0.0000
Pd1 0.0000 0.0000 0.5000
Pd2 0.0000 0.5000 0.0000
Pd3 0.0000 0.5000 0.5000
Pd4 0.2513 0.2513 0.2577
Pd5 0.5000 0.5000 0.5000
```

Top 6 peaks for 10° ≤ 2θ ≤ 90°, by intensity:
d = 2.337 Å, 2θ 38.52, I 1000, hkl 2 0 2
d = 2.055 Å, 2θ 44.07, I 341, hkl 2 2 0
d = 1.234 Å, 2θ 77.33, I 251, hkl 4 2 2
d = 1.421 Å, 2θ 65.71, I 200, hkl 2 2 4
d = 1.967 Å, 2θ 46.14, I 147, hkl 0 0 4
d = 1.195 Å, 2θ 80.32, I 110, hkl 2 0 6

***

(7)
Calculated powder diffraction line list of Tb2CePd9 for Cu Kα, 1.54184 Å, from a crystal structure in Alexandria, relaxed with PBE.
Intensities are scaled so that the largest is 1000.

Cell and atoms:
```
data_Tb2CePd9
_symmetry_space_group_name_H-M 'P 4/m m m'
_symmetry_Int_Tables_number 123
_symmetry_space_group_name_Hall '-P 4 2'
_cell_length_a 4.1373
_cell_length_b 4.1373
_cell_length_c 12.4083
_cell_angle_alpha 90.00
_cell_angle_beta 90.00
_cell_angle_gamma 90.00
loop_
_atom_site_label
_atom_site_fract_x
_atom_site_fract_y
_atom_site_fract_z
Tb1 0.0000 0.0000 0.1646
Ce1 0.0000 0.0000 0.5000
Pd1 0.0000 0.5000 0.0000
Pd2 0.0000 0.5000 0.3354
Pd3 0.5000 0.5000 0.1677
Pd4 0.5000 0.5000 0.5000
```

Top 6 peaks for 10° ≤ 2θ ≤ 90°, by intensity:
d = 2.388 Å, 2θ 37.66, I 1000, hkl 1 1 3
d = 2.068 Å, 2θ 43.77, I 489, hkl 2 0 0
d = 1.247 Å, 2θ 76.35, I 369, hkl 3 1 3
d = 1.463 Å, 2θ 63.62, I 316, hkl 2 2 0
d = 1.194 Å, 2θ 80.41, I 107, hkl 2 2 6
d = 4.137 Å, 2θ 21.48, I 24, hkl 1 0 0

***

(8)
Calculated powder diffraction line list of Ce2TePd9 for Cu Kα, 1.54184 Å, from a crystal structure in Alexandria, relaxed with PBE.
Intensities are scaled so that the largest is 1000.

Cell and atoms:
```
data_Ce2TePd9
_symmetry_space_group_name_H-M 'P 4/m m m'
_symmetry_Int_Tables_number 123
_symmetry_space_group_name_Hall '-P 4 2'
_cell_length_a 4.1474
_cell_length_b 4.1474
_cell_length_c 12.3430
_cell_angle_alpha 90.00
_cell_angle_beta 90.00
_cell_angle_gamma 90.00
loop_
_atom_site_label
_atom_site_fract_x
_atom_site_fract_y
_atom_site_fract_z
Ce1 0.0000 0.0000 0.1707
Te1 0.0000 0.0000 0.5000
Pd1 0.0000 0.5000 0.0000
Pd2 0.0000 0.5000 0.3305
Pd3 0.5000 0.5000 0.1660
Pd4 0.5000 0.5000 0.5000
```

Top 6 peaks for 10° ≤ 2θ ≤ 90°, by intensity:
d = 2.388 Å, 2θ 37.67, I 1000, hkl 1 1 3
d = 2.074 Å, 2θ 43.65, I 329, hkl 2 0 0
d = 1.250 Å, 2θ 76.19, I 247, hkl 3 1 3
d = 1.460 Å, 2θ 63.72, I 208, hkl 2 0 6
d = 2.057 Å, 2θ 44.02, I 159, hkl 0 0 6
d = 1.242 Å, 2θ 76.71, I 119, hkl 1 1 9